Computed powder diffraction line list of Co8Rh3 for copper Kα, from a cell relaxed with PBE.

Main lines, sorted by position (2θ = 5–70°):
24.33°, I = 9; 28.09°, I = 9; 42.15°, I = 9; 43.02°, I = 53; 43.99°, I = 100; 44.69°, I = 50; 45.11°, I = 93; 46.95°, I = 3; 63.77°, I = 31; 65.90°, I = 13

Cell: 12.952 12.952 12.952 Å, 168.58 161.99 21.38°
Sites, in units of the cell vectors:
Co  0.047  0.047  0.000
Co  0.234  0.234  0.000
Co  0.316  0.816  0.500
Co  0.408  0.908  0.500
Co  0.592  0.092  0.500
Co  0.684  0.184  0.500
Co  0.766  0.766  0.000
Co  0.953  0.953  0.000
Rh  0.139  0.639  0.500
Rh  0.500  0.500  0.000
Rh  0.861  0.361  0.500